Entry 1:
The following is a theoretical powder XRD pattern of Li4VCr3O8. It was derived from a crystal structure in the Materials Project, relaxed with PBE+U, using Cu Ka.

Cell: 5.1341 7.8698 7.8701 Å, 82.08 83.69 70.98°
Fractional coordinates of all 32 atoms:
Li  0.0011  0.0618  0.3129
Li  0.0009  0.4381  0.1862
Li  0.0009  0.8120  0.0624
Li  0.0023  0.3094  0.5650
Li  0.9977  0.6906  0.4350
Li  0.9991  0.1880  0.9376
Li  0.9991  0.5619  0.8138
Li  0.9989  0.9382  0.6871
V  0.5000  0.3765  0.3765
V  0.5000  0.6235  0.6235
Cr  0.5000  0.0000  0.5000
Cr  0.5000  0.1255  0.1255
Cr  0.5000  0.2482  0.7519
Cr  0.5000  0.5000  0.0000
Cr  0.5000  0.7518  0.2481
Cr  0.5000  0.8745  0.8745
O  0.2689  0.4620  0.5958
O  0.2729  0.5921  0.2162
O  0.2728  0.8403  0.4647
O  0.2751  0.0867  0.7185
O  0.2746  0.2135  0.3441
O  0.2746  0.3379  0.9696
O  0.2747  0.7123  0.8427
O  0.2754  0.9642  0.0919
O  0.7246  0.0358  0.9081
O  0.7253  0.2877  0.1573
O  0.7254  0.6621  0.0304
O  0.7254  0.7865  0.6559
O  0.7249  0.9133  0.2815
O  0.7272  0.1597  0.5353
O  0.7271  0.4079  0.7838
O  0.7311  0.5380  0.4042

Largest 6 diffraction maxima, by angle, 10 to 80 degrees two-theta:
2θ (°)	I_rel
18.32	100.0
35.43	27.3
42.89	28.4
43.12	55.9
62.33	15.5
62.58	29.5

=====

Entry 2:
The following is a theoretical powder XRD pattern of NaSrLaFeO6. It was derived from a crystal structure in the Materials Project, relaxed with PBE+U, using Cu Ka.

Cell: 5.9028 5.9028 5.9028 Å, 60.00 60.00 60.00°
Fractional coordinates of all 10 atoms:
Na  0.0000  0.0000  0.0000
Sr  0.5000  0.5000  0.5000
La  0.7500  0.7500  0.7500
Fe  0.2500  0.2500  0.2500
O  0.0262  0.0262  0.4738
O  0.0262  0.4738  0.0262
O  0.0262  0.4738  0.4738
O  0.4738  0.0262  0.0262
O  0.4738  0.0262  0.4738
O  0.4738  0.4738  0.0262

Largest 6 diffraction maxima, by angle, 10 to 80 degrees two-theta:
2θ (°)	I_rel
18.41	21.5
21.29	23.3
30.28	100.0
43.36	37.3
53.80	38.1
62.99	21.5

=====

Entry 3:
The following is a theoretical powder XRD pattern of Ca10V3P3O24F2. It was derived from a crystal structure in the Materials Project, relaxed with PBE+U, using Cu Ka.

Cell: 9.6916 9.6916 6.9889 Å, 90.00 90.00 120.00°
Fractional coordinates of all 42 atoms:
Ca  0.0000  0.0000  0.2441
Ca  0.0000  0.0000  0.7559
Ca  0.0878  0.6649  0.5000
Ca  0.0886  0.4285  0.0000
Ca  0.3351  0.4230  0.5000
Ca  0.3399  0.9114  0.0000
Ca  0.5715  0.6601  0.0000
Ca  0.5770  0.9122  0.5000
Ca  0.6667  0.3333  0.2477
Ca  0.6667  0.3333  0.7523
V  0.3041  0.0358  0.5000
V  0.7317  0.6959  0.5000
V  0.9642  0.2683  0.5000
P  0.3623  0.2962  0.0000
P  0.7038  0.0661  0.0000
P  0.9339  0.6377  0.0000
O  0.0000  0.8204  0.0000
O  0.0895  0.3331  0.3049
O  0.0895  0.3331  0.6951
O  0.1796  0.1796  0.0000
O  0.1990  0.1399  0.5000
O  0.2436  0.9105  0.3049
O  0.2436  0.9105  0.6951
O  0.4169  0.4073  0.1784
O  0.4169  0.4073  0.8216
O  0.4545  0.2020  0.0000
O  0.5090  0.1564  0.5000
O  0.5927  0.0096  0.1784
O  0.5927  0.0096  0.8216
O  0.6473  0.4910  0.5000
O  0.6669  0.7564  0.3049
O  0.6669  0.7564  0.6951
O  0.7474  0.5455  0.0000
O  0.7980  0.2526  0.0000
O  0.8204  0.0000  0.0000
O  0.8436  0.3527  0.5000
O  0.8601  0.0591  0.5000
O  0.9409  0.8010  0.5000
O  0.9904  0.5831  0.1784
O  0.9904  0.5831  0.8216
F  0.3333  0.6667  0.0000
F  0.3333  0.6667  0.5000

Largest 6 diffraction maxima, by angle, 10 to 80 degrees two-theta:
2θ (°)	I_rel
25.49	37.2
30.96	100.0
31.57	37.5
31.99	55.4
45.56	30.1
48.48	35.8